Diffraction record for AcLa4Tb2Ho. The powder diffractogram is simulated, not measured: it uses a DFT-relaxed cell (GGA-PBE, Alexandria) and Cu Kα (λ = 1.5418 Å).

The 6 most intense peaks (10 to 80 degrees two-theta), by angle:
2θ (°), I_rel
29.54, 100
33.99, 17
34.12, 17
34.61, 16
58.11, 15
58.28, 15

Atomic structure:
```
AcLa4Tb2Ho
1.0
5.817 -2.628 0.000
5.817 2.628 0.000
-4.789 0.000 9.401
Ac La Tb Ho
1 4 2 1
Direct
0.000 0.000 0.000
0.246 0.246 0.869
0.252 0.252 0.378
0.748 0.748 0.622
0.754 0.754 0.131
0.499 0.499 0.256
0.501 0.501 0.744
0.000 0.000 0.500
```

Diffraction record for AcLaHo2Tl4. The powder diffractogram is simulated, not measured: it uses a DFT-relaxed cell (GGA-PBE, Alexandria) and Cu Kα (λ = 1.5418 Å).

The 6 most intense peaks (10 to 80 degrees two-theta), by angle:
2θ (°), I_rel
32.21, 100
46.20, 19
57.42, 29
57.48, 10
67.40, 12
76.68, 17

Atomic structure:
```
AcLaHo2Tl4
1.0
2.777 1.603 9.087
-2.777 1.603 9.087
0.000 -3.207 9.087
Ac La Ho Tl
1 1 2 4
Direct
0.000 0.000 0.000
0.500 0.500 0.500
0.249 0.249 0.249
0.751 0.751 0.751
0.126 0.126 0.126
0.377 0.377 0.377
0.623 0.623 0.623
0.874 0.874 0.874
```

Diffraction record for AcLa5Y2Ho. The powder diffractogram is simulated, not measured: it uses a DFT-relaxed cell (GGA-PBE, Alexandria) and Cu Kα (λ = 1.5418 Å).

The 6 most intense peaks (10 to 80 degrees two-theta), by angle:
2θ (°), I_rel
26.22, 61
27.79, 34
29.38, 18
30.93, 100
37.44, 17
49.31, 22

Atomic structure:
```
AcLa5Y2Ho
1.0
-4.807 4.807 7.237
4.807 -4.807 7.237
4.807 4.807 -7.237
Ac La Y Ho
2 10 4 2
Direct
0.250 0.250 0.000
0.750 0.750 0.000
0.000 0.000 0.000
0.068 0.568 0.901
0.167 0.068 0.500
0.333 0.833 0.901
0.432 0.333 0.500
0.500 0.500 0.000
0.568 0.667 0.500
0.667 0.167 0.099
0.833 0.932 0.500
0.932 0.432 0.099
0.109 0.391 0.500
0.391 0.891 0.283
0.609 0.109 0.717
0.891 0.609 0.500
0.250 0.750 0.500
0.750 0.250 0.500
```